# 1
For Li6Fe2O5F2, a DFT-relaxed cell (PBE+U, Alexandria) gives the calculated powder diffractogram in this record (Cu Kα (λ = 1.5418 Å)).

Principal peaks in the range 10° ≤ 2θ ≤ 90°, by angle:
Position (°2θ), I (rel.)
17.32, 22
17.46, 100
18.46, 62
19.30, 46
23.42, 22
24.63, 31
27.50, 25
41.87, 50
42.99, 51
44.11, 47

Crystal structure
```
data_Li6Fe2O5F2
_chemical_formula_sum 'Li12 Fe4 O10 F4'
_symmetry_space_group_name_H-M 'P 1'
_symmetry_Int_Tables_number 1
_symmetry_space_group_name_Hall 'P 1'
_cell_length_a 5.896
_cell_length_b 5.899
_cell_length_c 9.971
_cell_angle_alpha 97.76
_cell_angle_beta 92.85
_cell_angle_gamma 118.84
loop_
_atom_site_label
_atom_site_fract_x
_atom_site_fract_y
_atom_site_fract_z
_atom_site_occupancy
Li1 0.021 0.358 0.394 1
Li2 0.164 0.085 0.111 1
Li3 0.189 0.636 0.094 1
Li4 0.294 0.370 0.907 1
Li5 0.416 0.619 0.578 1
Li6 0.426 0.090 0.607 1
Li7 0.574 0.910 0.393 1
Li8 0.584 0.381 0.422 1
Li9 0.706 0.630 0.093 1
Li10 0.811 0.364 0.906 1
Li11 0.836 0.915 0.889 1
Li12 0.979 0.642 0.606 1
Fe1 0.044 0.876 0.380 1
Fe2 0.293 0.891 0.883 1
Fe3 0.707 0.109 0.117 1
Fe4 0.956 0.124 0.620 1
O1 0.006 0.263 0.025 1
O2 0.145 0.021 0.750 1
O3 0.236 0.743 0.470 1
O4 0.238 0.236 0.495 1
O5 0.499 0.765 0.992 1
O6 0.501 0.235 0.008 1
O7 0.762 0.764 0.505 1
O8 0.764 0.257 0.530 1
O9 0.855 0.979 0.250 1
O10 0.994 0.737 0.975 1
F1 0.190 0.533 0.739 1
F2 0.346 0.968 0.241 1
F3 0.654 0.032 0.759 1
F4 0.810 0.467 0.261 1
```

# 2
For LiFe3O2F6, a DFT-relaxed cell (PBE+U, Alexandria) gives the calculated powder diffractogram in this record (Cu Kα (λ = 1.5418 Å)).

Principal peaks in the range 10° ≤ 2θ ≤ 90°, by angle:
Position (°2θ), I (rel.)
13.83, 100
24.78, 58
26.87, 22
27.87, 40
31.49, 24
32.41, 25
42.35, 57
46.82, 28
55.37, 33
64.96, 26

Crystal structure
```
data_LiFe3O2F6
_chemical_formula_sum 'Li2 Fe6 O4 F12'
_symmetry_space_group_name_H-M 'P 1'
_symmetry_Int_Tables_number 1
_symmetry_space_group_name_Hall 'P 1'
_cell_length_a 3.880
_cell_length_b 9.523
_cell_length_c 8.649
_cell_angle_alpha 90.00
_cell_angle_beta 90.00
_cell_angle_gamma 90.00
loop_
_atom_site_label
_atom_site_fract_x
_atom_site_fract_y
_atom_site_fract_z
_atom_site_occupancy
Li1 0.000 0.040 0.000 1
Li2 0.500 0.960 0.500 1
Fe1 0.000 0.451 0.338 1
Fe2 0.000 0.736 0.668 1
Fe3 0.000 0.741 0.028 1
Fe4 0.500 0.259 0.528 1
Fe5 0.500 0.264 0.168 1
Fe6 0.500 0.549 0.838 1
O1 0.000 0.295 0.190 1
O2 0.000 0.599 0.869 1
O3 0.500 0.401 0.369 1
O4 0.500 0.705 0.690 1
F1 0.000 0.279 0.518 1
F2 0.000 0.582 0.512 1
F3 0.000 0.608 0.197 1
F4 0.000 0.874 0.860 1
F5 0.000 0.890 0.527 1
F6 0.000 0.892 0.158 1
F7 0.500 0.108 0.658 1
F8 0.500 0.110 0.027 1
F9 0.500 0.126 0.360 1
F10 0.500 0.392 0.697 1
F11 0.500 0.418 0.012 1
F12 0.500 0.721 0.018 1
```

# 3
For Li7FeO5F, a DFT-relaxed cell (PBE+U, Alexandria) gives the calculated powder diffractogram in this record (Cu Kα (λ = 1.5418 Å)).

Principal peaks in the range 10° ≤ 2θ ≤ 90°, by angle:
Position (°2θ), I (rel.)
18.43, 62
18.68, 93
19.49, 88
19.92, 94
21.33, 65
22.42, 69
22.63, 60
35.16, 100
38.15, 52
38.36, 50

Crystal structure
```
data_Li7FeO5F
_chemical_formula_sum 'Li7 Fe1 O5 F1'
_symmetry_space_group_name_H-M 'P 1'
_symmetry_Int_Tables_number 1
_symmetry_space_group_name_Hall 'P 1'
_cell_length_a 5.486
_cell_length_b 5.525
_cell_length_c 5.665
_cell_angle_alpha 90.29
_cell_angle_beta 117.96
_cell_angle_gamma 116.66
loop_
_atom_site_label
_atom_site_fract_x
_atom_site_fract_y
_atom_site_fract_z
_atom_site_occupancy
Li1 0.000 0.000 0.000 1
Li2 0.039 0.249 0.657 1
Li3 0.129 0.416 0.288 1
Li4 0.266 0.704 0.992 1
Li5 0.428 0.885 0.640 1
Li6 0.570 0.261 0.015 1
Li7 0.711 0.524 0.688 1
Fe1 0.789 0.730 0.309 1
O1 0.018 0.579 0.576 1
O2 0.340 0.394 0.087 1
O3 0.709 0.993 0.102 1
O4 0.724 0.855 0.574 1
O5 0.945 0.649 0.097 1
F1 0.346 0.193 0.608 1
```

# 4
For Li4FeO3F, a DFT-relaxed cell (PBE+U, Alexandria) gives the calculated powder diffractogram in this record (Cu Kα (λ = 1.5418 Å)).

Principal peaks in the range 10° ≤ 2θ ≤ 90°, by angle:
Position (°2θ), I (rel.)
18.72, 82
21.14, 65
21.37, 100
22.25, 59
23.52, 30
25.49, 72
27.33, 70
30.57, 54
41.52, 28
41.82, 49

Crystal structure
```
data_Li4FeO3F
_chemical_formula_sum 'Li8 Fe2 O6 F2'
_symmetry_space_group_name_H-M 'P 1'
_symmetry_Int_Tables_number 1
_symmetry_space_group_name_Hall 'P 1'
_cell_length_a 5.202
_cell_length_b 5.326
_cell_length_c 8.011
_cell_angle_alpha 70.99
_cell_angle_beta 80.91
_cell_angle_gamma 68.49
loop_
_atom_site_label
_atom_site_fract_x
_atom_site_fract_y
_atom_site_fract_z
_atom_site_occupancy
Li1 0.210 0.323 0.273 1
Li2 0.234 0.757 0.510 1
Li3 0.249 0.542 0.950 1
Li4 0.255 0.022 0.077 1
Li5 0.745 0.978 0.923 1
Li6 0.751 0.458 0.050 1
Li7 0.766 0.243 0.490 1
Li8 0.790 0.677 0.727 1
Fe1 0.217 0.098 0.739 1
Fe2 0.783 0.902 0.261 1
O1 0.025 0.047 0.315 1
O2 0.042 0.339 0.873 1
O3 0.482 0.804 0.887 1
O4 0.518 0.196 0.113 1
O5 0.958 0.661 0.127 1
O6 0.975 0.953 0.685 1
F1 0.349 0.327 0.503 1
F2 0.651 0.673 0.497 1
```

# 5
For LiFe6O4F8, a DFT-relaxed cell (PBE+U, Alexandria) gives the calculated powder diffractogram in this record (Cu Kα (λ = 1.5418 Å)).

Principal peaks in the range 10° ≤ 2θ ≤ 90°, by angle:
Position (°2θ), I (rel.)
24.61, 100
26.98, 85
33.90, 77
34.21, 27
49.40, 16
49.58, 32
50.03, 16
50.47, 21
58.89, 18
64.20, 22

Crystal structure
```
data_LiFe6O4F8
_chemical_formula_sum 'Li1 Fe6 O4 F8'
_symmetry_space_group_name_H-M 'P 1'
_symmetry_Int_Tables_number 1
_symmetry_space_group_name_Hall 'P 1'
_cell_length_a 5.765
_cell_length_b 5.840
_cell_length_c 7.906
_cell_angle_alpha 69.13
_cell_angle_beta 69.40
_cell_angle_gamma 69.44
loop_
_atom_site_label
_atom_site_fract_x
_atom_site_fract_y
_atom_site_fract_z
_atom_site_occupancy
Li1 0.000 0.000 0.000 1
Fe1 0.323 0.915 0.625 1
Fe2 0.391 0.854 0.153 1
Fe3 0.640 0.229 0.316 1
Fe4 0.672 0.202 0.780 1
Fe5 0.986 0.573 0.466 1
Fe6 0.989 0.556 0.955 1
O1 0.285 0.267 0.464 1
O2 0.655 0.543 0.139 1
O3 0.690 0.868 0.473 1
O4 0.988 0.920 0.792 1
F1 0.068 0.162 0.138 1
F2 0.090 0.676 0.182 1
F3 0.228 0.777 0.450 1
F4 0.376 0.519 0.795 1
F5 0.406 0.988 0.841 1
F6 0.623 0.100 0.099 1
F7 0.769 0.342 0.484 1
F8 0.903 0.452 0.747 1
```

# 6
For LiFe8O14F2, a DFT-relaxed cell (PBE+U, Alexandria) gives the calculated powder diffractogram in this record (Cu Kα (λ = 1.5418 Å)).

Principal peaks in the range 10° ≤ 2θ ≤ 90°, by angle:
Position (°2θ), I (rel.)
26.91, 100
35.67, 13
35.81, 38
40.72, 7
40.85, 7
53.33, 14
53.51, 22
53.62, 22
55.48, 16
62.50, 12

Crystal structure
```
data_LiFe8O14F2
_chemical_formula_sum 'Li1 Fe8 O14 F2'
_symmetry_space_group_name_H-M 'P 1'
_symmetry_Int_Tables_number 1
_symmetry_space_group_name_Hall 'P 1'
_cell_length_a 5.541
_cell_length_b 7.250
_cell_length_c 7.265
_cell_angle_alpha 80.73
_cell_angle_beta 71.31
_cell_angle_gamma 71.06
loop_
_atom_site_label
_atom_site_fract_x
_atom_site_fract_y
_atom_site_fract_z
_atom_site_occupancy
Li1 0.000 0.000 0.000 1
Fe1 0.163 0.183 0.172 1
Fe2 0.168 0.662 0.179 1
Fe3 0.173 0.171 0.653 1
Fe4 0.188 0.682 0.671 1
Fe5 0.645 0.905 0.907 1
Fe6 0.652 0.413 0.923 1
Fe7 0.669 0.421 0.416 1
Fe8 0.692 0.914 0.430 1
O1 0.013 0.255 0.435 1
O2 0.014 0.751 0.944 1
O3 0.024 0.937 0.252 1
O4 0.301 0.093 0.909 1
O5 0.313 0.398 0.097 1
O6 0.322 0.589 0.404 1
O7 0.345 0.899 0.589 1
O8 0.506 0.681 0.001 1
O9 0.519 0.497 0.685 1
O10 0.526 0.183 0.494 1
O11 0.816 0.154 0.833 1
O12 0.819 0.337 0.149 1
O13 0.822 0.655 0.341 1
O14 0.847 0.832 0.647 1
F1 0.018 0.444 0.750 1
F2 0.526 0.001 0.185 1
```

# 7
For Li2FeO2F, a DFT-relaxed cell (PBE+U, Alexandria) gives the calculated powder diffractogram in this record (Cu Kα (λ = 1.5418 Å)).

Principal peaks in the range 10° ≤ 2θ ≤ 90°, by angle:
Position (°2θ), I (rel.)
18.04, 82
23.87, 44
25.07, 35
28.32, 48
31.97, 19
33.36, 54
43.26, 100
44.13, 52
56.46, 17
63.51, 52

Crystal structure
```
data_Li2FeO2F
_chemical_formula_sum 'Li8 Fe4 O8 F4'
_symmetry_space_group_name_H-M 'P 1'
_symmetry_Int_Tables_number 1
_symmetry_space_group_name_Hall 'P 1'
_cell_length_a 5.899
_cell_length_b 4.105
_cell_length_c 8.897
_cell_angle_alpha 90.00
_cell_angle_beta 90.00
_cell_angle_gamma 90.00
loop_
_atom_site_label
_atom_site_fract_x
_atom_site_fract_y
_atom_site_fract_z
_atom_site_occupancy
Li1 0.121 0.250 0.083 1
Li2 0.135 0.250 0.753 1
Li3 0.365 0.750 0.253 1
Li4 0.379 0.750 0.583 1
Li5 0.621 0.250 0.417 1
Li6 0.635 0.250 0.747 1
Li7 0.865 0.750 0.247 1
Li8 0.879 0.750 0.917 1
Fe1 0.109 0.250 0.398 1
Fe2 0.391 0.750 0.898 1
Fe3 0.609 0.250 0.102 1
Fe4 0.891 0.750 0.602 1
O1 0.111 0.750 0.423 1
O2 0.133 0.750 0.755 1
O3 0.367 0.250 0.255 1
O4 0.389 0.250 0.923 1
O5 0.611 0.750 0.077 1
O6 0.633 0.750 0.745 1
O7 0.867 0.250 0.245 1
O8 0.889 0.250 0.577 1
F1 0.128 0.750 0.073 1
F2 0.372 0.250 0.573 1
F3 0.628 0.750 0.427 1
F4 0.872 0.250 0.927 1
```

# 8
For LiFe5O3F5, a DFT-relaxed cell (PBE+U, Alexandria) gives the calculated powder diffractogram in this record (Cu Kα (λ = 1.5418 Å)).

Principal peaks in the range 10° ≤ 2θ ≤ 90°, by angle:
Position (°2θ), I (rel.)
20.14, 16
28.21, 23
28.54, 40
33.36, 30
33.65, 100
33.72, 24
40.66, 22
40.95, 15
53.50, 27
59.07, 42

Crystal structure
```
data_LiFe5O3F5
_chemical_formula_sum 'Li1 Fe5 O3 F5'
_symmetry_space_group_name_H-M 'P 1'
_symmetry_Int_Tables_number 1
_symmetry_space_group_name_Hall 'P 1'
_cell_length_a 6.255
_cell_length_b 6.255
_cell_length_c 6.327
_cell_angle_alpha 120.37
_cell_angle_beta 120.37
_cell_angle_gamma 59.70
loop_
_atom_site_label
_atom_site_fract_x
_atom_site_fract_y
_atom_site_fract_z
_atom_site_occupancy
Li1 0.000 0.000 0.000 1
Fe1 0.003 0.525 0.007 1
Fe2 0.014 0.014 0.514 1
Fe3 0.358 0.358 0.642 1
Fe4 0.525 0.003 0.007 1
Fe5 0.681 0.681 0.429 1
O1 0.242 0.242 0.789 1
O2 0.777 0.777 0.794 1
O3 0.786 0.786 0.254 1
F1 0.253 0.766 0.771 1
F2 0.258 0.258 0.255 1
F3 0.260 0.780 0.262 1
F4 0.766 0.253 0.771 1
F5 0.780 0.260 0.262 1
```

# 9
For LiFe6O4F8, a DFT-relaxed cell (PBE+U, Alexandria) gives the calculated powder diffractogram in this record (Cu Kα (λ = 1.5418 Å)).

Principal peaks in the range 10° ≤ 2θ ≤ 90°, by angle:
Position (°2θ), I (rel.)
26.29, 100
26.78, 67
33.07, 49
33.26, 55
42.87, 22
50.74, 25
51.14, 33
51.56, 14
54.12, 20
55.98, 25

Crystal structure
```
data_LiFe6O4F8
_chemical_formula_sum 'Li1 Fe6 O4 F8'
_symmetry_space_group_name_H-M 'P 1'
_symmetry_Int_Tables_number 1
_symmetry_space_group_name_Hall 'P 1'
_cell_length_a 5.792
_cell_length_b 5.792
_cell_length_c 7.507
_cell_angle_alpha 106.42
_cell_angle_beta 106.42
_cell_angle_gamma 70.18
loop_
_atom_site_label
_atom_site_fract_x
_atom_site_fract_y
_atom_site_fract_z
_atom_site_occupancy
Li1 0.000 0.000 0.000 1
Fe1 0.083 0.517 0.820 1
Fe2 0.099 0.603 0.342 1
Fe3 0.397 0.901 0.658 1
Fe4 0.483 0.917 0.180 1
Fe5 0.615 0.385 0.000 1
Fe6 0.750 0.250 0.500 1
O1 0.054 0.946 0.500 1
O2 0.372 0.224 0.825 1
O3 0.455 0.545 0.500 1
O4 0.776 0.628 0.175 1
F1 0.182 0.220 0.178 1
F2 0.206 0.698 0.136 1
F3 0.302 0.794 0.864 1
F4 0.542 0.020 0.482 1
F5 0.703 0.165 0.209 1
F6 0.780 0.818 0.822 1
F7 0.835 0.297 0.791 1
F8 0.980 0.458 0.518 1
```

# 10
For LiFe8O14F2, a DFT-relaxed cell (PBE+U, Alexandria) gives the calculated powder diffractogram in this record (Cu Kα (λ = 1.5418 Å)).

Principal peaks in the range 10° ≤ 2θ ≤ 90°, by angle:
Position (°2θ), I (rel.)
26.88, 100
27.15, 98
35.67, 24
35.80, 52
35.94, 26
40.77, 19
53.35, 27
53.55, 29
53.76, 42
62.45, 19

Crystal structure
```
data_LiFe8O14F2
_chemical_formula_sum 'Li1 Fe8 O14 F2'
_symmetry_space_group_name_H-M 'P 1'
_symmetry_Int_Tables_number 1
_symmetry_space_group_name_Hall 'P 1'
_cell_length_a 5.500
_cell_length_b 7.228
_cell_length_c 7.269
_cell_angle_alpha 80.79
_cell_angle_beta 71.12
_cell_angle_gamma 71.81
loop_
_atom_site_label
_atom_site_fract_x
_atom_site_fract_y
_atom_site_fract_z
_atom_site_occupancy
Li1 0.000 0.000 0.000 1
Fe1 0.191 0.645 0.650 1
Fe2 0.206 0.172 0.640 1
Fe3 0.208 0.637 0.160 1
Fe4 0.244 0.144 0.163 1
Fe5 0.684 0.408 0.880 1
Fe6 0.687 0.886 0.893 1
Fe7 0.703 0.402 0.404 1
Fe8 0.730 0.897 0.395 1
O1 0.039 0.432 0.734 1
O2 0.041 0.741 0.915 1
O3 0.055 0.236 0.418 1
O4 0.081 0.909 0.234 1
O5 0.346 0.066 0.883 1
O6 0.358 0.566 0.386 1
O7 0.360 0.379 0.068 1
O8 0.537 0.487 0.661 1
O9 0.543 0.660 0.978 1
O10 0.559 0.171 0.474 1
O11 0.599 0.974 0.153 1
O12 0.849 0.817 0.631 1
O13 0.854 0.624 0.321 1
O14 0.856 0.146 0.805 1
F1 0.350 0.883 0.563 1
F2 0.862 0.306 0.129 1
```